Record 1
This entry pairs a crystal structure of PIrW with its theoretical X-ray diffraction stick pattern. Radiation: copper Kα. Structure: DFT lattice parameters and positions (GGA-PBE).

Cell and atoms:
```
data_PIrW
_cell_length_a 2.9433
_cell_length_b 2.9433
_cell_length_c 9.7840
_cell_angle_alpha 90.00
_cell_angle_beta 90.00
_cell_angle_gamma 90.00
_symmetry_space_group_name_H-M 'I 4 m m'
_symmetry_Int_Tables_number 107
_symmetry_space_group_name_Hall 'I 4 -2'
loop_
_atom_site_label
_atom_site_fract_x
_atom_site_fract_y
_atom_site_fract_z
P1 0.0000 0.0000 0.0000
Ir1 0.0000 0.0000 0.3338
W1 0.0000 0.0000 0.6392
```

Top 6 peaks for 2θ = 15–90°, in order of rising 2θ:
d 2.819, I 45; d 2.185, I 100; d 2.081, I 46; d 1.585, I 16; d 1.472, I 15; d 1.221, I 31



Record 2
This entry pairs a crystal structure of CaGa2Cu6 with its theoretical X-ray diffraction stick pattern. Radiation: copper Kα. Structure: DFT lattice parameters and positions (GGA-PBE).

Cell and atoms:
```
data_CaGa2Cu6
_cell_length_a 4.0977
_cell_length_b 4.0977
_cell_length_c 8.1946
_cell_angle_alpha 90.00
_cell_angle_beta 90.00
_cell_angle_gamma 90.00
_symmetry_space_group_name_H-M 'P 4/m m m'
_symmetry_Int_Tables_number 123
_symmetry_space_group_name_Hall '-P 4 2'
loop_
_atom_site_label
_atom_site_fract_x
_atom_site_fract_y
_atom_site_fract_z
Ca1 0.0000 0.0000 0.0000
Ga1 0.5000 0.5000 0.1567
Cu1 0.0000 0.0000 0.5000
Cu2 0.0000 0.5000 0.3217
Cu3 0.5000 0.5000 0.5000
```

Top 6 peaks for 2θ = 15–90°, in order of rising 2θ:
d 2.366, I 53; d 2.273, I 19; d 2.049, I 72; d 1.988, I 100; d 1.449, I 22; d 1.171, I 30



Record 3
This entry pairs a crystal structure of Ta2Al3Tc4 with its theoretical X-ray diffraction stick pattern. Radiation: copper Kα. Structure: DFT lattice parameters and positions (GGA-PBE).

Cell and atoms:
```
data_Ta2Al3Tc4
_cell_length_a 4.4262
_cell_length_b 4.4262
_cell_length_c 8.1338
_cell_angle_alpha 90.00
_cell_angle_beta 90.00
_cell_angle_gamma 120.00
_symmetry_space_group_name_H-M 'P -3 m 1'
_symmetry_Int_Tables_number 164
_symmetry_space_group_name_Hall '-P 3 2"'
loop_
_atom_site_label
_atom_site_fract_x
_atom_site_fract_y
_atom_site_fract_z
Ta1 0.3333 0.6667 0.2834
Al1 0.0000 0.0000 0.5000
Al2 0.3333 0.6667 0.9336
Tc1 0.0000 0.0000 0.1520
Tc2 0.3333 0.6667 0.6099
```

Top 6 peaks for 2θ = 15–90°, in order of rising 2θ:
d 4.067, I 10; d 3.467, I 30; d 2.213, I 100; d 1.565, I 17; d 1.278, I 33; d 1.107, I 11